For PaAgSb2O7, a structure optimized by DFT (PBE) gives the calculated powder diffraction line list in this record (λ = 1.5418 Å (Cu Kα)).
Kinematic intensities with the Lorentz-polarization factor, no thermal factor.

Main lines, sorted by position (2θ from 10° to 80°):
| two_theta | Rel. int. | (hkl) |
| --- | --- | --- |
| 28.1 | 1000 | 1 0 2 |
| 31.9 | 111 | 0 0 4 |
| 32.8 | 367 | 1 1 0 |
| 33.3 | 110 | 1 0 3 |
| 46.4 | 245 | 1 1 4 |
| 47.1 | 197 | 2 0 0 |
| 52.8 | 83 | 1 1 5 |
| 54.5 | 85 | 1 0 6 |
| 55.7 | 297 | 2 1 2 |
| 58.0 | 86 | 2 0 4 |

```
PaAgSb2O7
1.0
3.858 0.000 0.000
0.000 3.858 0.000
0.000 0.000 11.233
Pa Ag Sb O
1 1 2 7
Cartesian
0.000 0.000 0.000
0.000 0.000 5.616
1.929 1.929 2.416
1.929 1.929 8.816
0.000 1.929 1.691
0.000 1.929 9.541
1.929 0.000 1.691
1.929 0.000 9.541
1.929 1.929 0.000
1.929 1.929 4.300
1.929 1.929 6.932
```